Record 1
Starting from a structure optimized by DFT (PBE), the PXRD pattern of Cu6Ni2Rh3 was simulated for Cu Kα X-rays.
No peak broadening, texture or thermal motion is included.

Main lines, most intense first (2θ = 15–90°):
- 45.67 deg, rel. 100
- 43.45 deg, rel. 32
- 43.22 deg, rel. 23
- 40.28 deg, rel. 20
- 72.43 deg, rel. 14
- 41.40 deg, rel. 14
- 88.50 deg, rel. 11
- 81.28 deg, rel. 10
- 39.89 deg, rel. 10
- 32.23 deg, rel. 10
- 89.94 deg, rel. 9
- 56.08 deg, rel. 8

Structure:
a b c (Å): 4.519 4.519 16.663
angles (deg): 90.13 90.13 60.02
Sites, in units of the cell vectors:
Cu: 0.167 0.500 0.117
Cu: 0.168 0.831 0.617
Cu: 0.169 0.501 0.383
Cu: 0.169 0.832 0.883
Cu: 0.499 0.831 0.117
Cu: 0.500 0.167 0.617
Cu: 0.500 0.833 0.383
Cu: 0.501 0.169 0.883
Cu: 0.831 0.168 0.117
Cu: 0.831 0.499 0.617
Cu: 0.832 0.169 0.383
Cu: 0.833 0.500 0.883
Ni: 0.167 0.167 0.000
Ni: 0.167 0.167 0.500
Ni: 0.833 0.833 0.000
Ni: 0.833 0.833 0.500
Rh: 0.167 0.167 0.250
Rh: 0.167 0.167 0.750
Rh: 0.500 0.500 0.250
Rh: 0.500 0.500 0.750
Rh: 0.833 0.833 0.250
Rh: 0.833 0.833 0.750

=====

Record 2
Starting from a structure optimized by DFT (PBE), the PXRD pattern of Cu7Ni4Rh was simulated for Cu Kα X-rays.
No peak broadening, texture or thermal motion is included.

Main lines, most intense first (2θ = 15–90°):
- 43.33 deg, rel. 100
- 43.46 deg, rel. 99
- 50.25 deg, rel. 63
- 51.10 deg, rel. 30
- 74.46 deg, rel. 27
- 89.79 deg, rel. 16
- 89.55 deg, rel. 11
- 74.00 deg, rel. 9
- 73.63 deg, rel. 9
- 74.60 deg, rel. 9
- 89.67 deg, rel. 5
- 89.47 deg, rel. 5

Structure:
a b c (Å): 4.399 5.146 6.716
angles (deg): 100.91 108.37 90.07
Sites, in units of the cell vectors:
Cu: 0.000 0.000 0.000
Cu: 0.003 0.839 0.337
Cu: 0.492 0.414 0.663
Cu: 0.498 0.756 0.999
Cu: 0.502 0.244 0.001
Cu: 0.508 0.586 0.337
Cu: 0.997 0.161 0.663
Ni: 0.000 0.333 0.336
Ni: 0.000 0.667 0.664
Ni: 0.500 0.088 0.336
Ni: 0.500 0.912 0.664
Rh: 0.000 0.500 0.000

=====

Record 3
Starting from a structure optimized by DFT (PBE), the PXRD pattern of CuNi6Rh was simulated for Cu Kα X-rays.
No peak broadening, texture or thermal motion is included.

Main lines, most intense first (2θ = 15–90°):
- 43.68 deg, rel. 100
- 43.79 deg, rel. 99
- 50.83 deg, rel. 62
- 75.02 deg, rel. 36
- 51.17 deg, rel. 31
- 74.58 deg, rel. 9
- 74.90 deg, rel. 9
- 23.18 deg, rel. 5
- 30.63 deg, rel. 3
- 34.23 deg, rel. 2
- 17.49 deg, rel. 2
- 24.94 deg, rel. 1

Structure:
a b c (Å): 6.202 5.674 4.384
angles (deg): 74.91 62.05 43.04
Sites, in units of the cell vectors:
Cu: 0.000 0.000 0.000
Ni: 0.129 0.129 0.371
Ni: 0.249 0.249 0.751
Ni: 0.371 0.371 0.129
Ni: 0.629 0.629 0.871
Ni: 0.751 0.751 0.249
Ni: 0.871 0.871 0.629
Rh: 0.500 0.500 0.500

=====

Record 4
Starting from a structure optimized by DFT (PBE), the PXRD pattern of Cu12Ni2Rh was simulated for Cu Kα X-rays.
No peak broadening, texture or thermal motion is included.

Main lines, most intense first (2θ = 15–90°):
- 44.74 deg, rel. 100
- 46.91 deg, rel. 72
- 43.78 deg, rel. 69
- 43.59 deg, rel. 41
- 52.11 deg, rel. 29
- 41.20 deg, rel. 28
- 37.46 deg, rel. 20
- 40.37 deg, rel. 18
- 61.68 deg, rel. 16
- 81.12 deg, rel. 15
- 76.70 deg, rel. 11
- 45.00 deg, rel. 10

Structure:
a b c (Å): 2.485 4.136 18.588
angles (deg): 90.00 90.00 90.00
Sites, in units of the cell vectors:
Cu: 0.000 0.000 0.063
Cu: 0.000 0.000 0.423
Cu: 0.000 0.000 0.577
Cu: 0.000 0.000 0.937
Cu: 0.500 0.000 0.179
Cu: 0.500 0.000 0.304
Cu: 0.500 0.000 0.696
Cu: 0.500 0.000 0.821
Cu: 0.500 0.500 0.109
Cu: 0.500 0.500 0.371
Cu: 0.500 0.500 0.629
Cu: 0.500 0.500 0.891
Ni: 0.000 0.500 0.242
Ni: 0.000 0.500 0.758
Rh: 0.000 0.500 0.500